Simulated X-ray powder pattern
Compound: CsHoAgF6
Radiation: Cu Kα, 1.54184 Å
Structure: a structure optimized by DFT (PBE)
Lines closer than 0.1° are merged.

The 10 most intense peaks (10° ≤ 2θ ≤ 90°), by angle:
| d [Å] | I_rel |
| --- | --- |
| 3.536 | 43 |
| 3.511 | 100 |
| 3.492 | 22 |
| 3.392 | 69 |
| 3.251 | 59 |
| 2.265 | 20 |
| 2.170 | 28 |
| 2.043 | 46 |
| 1.954 | 26 |
| 1.756 | 20 |

Structural model:
Unit cell a=7.8163 b=8.3439 c=11.7115 alpha=90.00 beta=90.00 gamma=90.00
Space group Imma (No. 74)
Unique sites:
Cs 0.0000 0.2500 0.0860 (multiplicity 4)
Ho 0.0000 0.0000 0.5000 (multiplicity 4)
Ag 0.2500 0.2500 0.7500 (multiplicity 4)
F 0.0000 0.2500 0.4436 (multiplicity 4)
F 0.0000 0.2500 0.8068 (multiplicity 4)
F 0.2077 0.0451 0.6180 (multiplicity 16)

---

Simulated X-ray powder pattern
Compound: CsK2AgF4
Radiation: Cu Kα, 1.54184 Å
Structure: a structure optimized by DFT (PBE)
Lines closer than 0.1° are merged.

The 10 most intense peaks (10° ≤ 2θ ≤ 90°), by angle:
| d [Å] | I_rel |
| --- | --- |
| 6.708 | 83 |
| 3.354 | 50 |
| 3.328 | 35 |
| 3.294 | 70 |
| 2.981 | 27 |
| 2.879 | 22 |
| 2.699 | 100 |
| 2.509 | 21 |
| 2.362 | 36 |
| 1.972 | 21 |

Structural model:
Unit cell a=3.9440 b=13.3116 c=13.4167 alpha=90.00 beta=90.00 gamma=90.00
Space group Cmcm (No. 63)
Unique sites:
Cs 0.0000 0.1196 0.2500 (multiplicity 4)
K 0.0000 0.3724 0.0420 (multiplicity 8)
Ag 0.0000 0.1466 0.7500 (multiplicity 4)
F 0.0000 0.0000 0.0000 (multiplicity 4)
F 0.0000 0.2580 0.6171 (multiplicity 8)
F 0.0000 0.4475 0.2500 (multiplicity 4)